Starting from a DFT-relaxed cell (GGA-PBE, Alexandria), the PXRD pattern of DyHo4Tm6 was calculated for a wavelength of 1.5418 Å.

Atomic structure:
a b c (Å): 5.5534 9.5689 25.3389
angles (deg): 90.00 90.00 90.00
Space group Cmcm (No. 63)
Asymmetric unit:
Dy: 0.0000 0.1709 0.2500 (multiplicity 4)
Ho: 0.0000 0.1651 0.5419 (multiplicity 8)
Ho: 0.0000 0.4946 0.6215 (multiplicity 8)
Tm: 0.0000 0.1620 0.6816 (multiplicity 8)
Tm: 0.0000 0.1711 0.1037 (multiplicity 8)
Tm: 0.0000 0.4955 0.7500 (multiplicity 4)
Tm: 0.0000 0.5000 0.0000 (multiplicity 4)

Most intense lines, 5° ≤ 2θ ≤ 70°, sorted by position:
d_spacing	Position (°2θ)	I_rel	h k l
2.889	30.95	99.7	0 2 7
2.777	32.24	50.8	2 0 0
2.766	32.37	100.0	1 3 0
2.643	33.91	44.1	1 1 8
2.001	45.32	24.7	2 2 7
1.619	56.86	24.2	1 5 7
1.601	57.57	19.6	3 3 0
1.572	58.72	12.0	2 4 8
1.515	61.17	20.7	2 0 14
1.383	67.76	12.2	2 6 0